Entry 1:
The following is a simulated powder X-ray diffraction pattern of K2Na5Pb4. It was derived from the GGA-PBE geometry in Alexandria, using CuKα.

Cell and atoms:
Cell lengths 8.2794, 8.2794, 10.1578 Å; angles 127.76, 127.76, 48.43 degrees
Fractional positions:
K (0.2018, 0.2018, 0.2020)
K (0.7982, 0.7982, 0.7980)
Na (0.2497, 0.7502, 0.3111)
Na (0.2498, 0.7503, 0.6889)
Na (0.5000, 0.5000, 0.0000)
Na (0.7502, 0.2497, 0.3111)
Na (0.7503, 0.2498, 0.6889)
Pb (0.2534, 0.2534, 0.5916)
Pb (0.2535, 0.2535, 0.9158)
Pb (0.7465, 0.7465, 0.0842)
Pb (0.7466, 0.7466, 0.4084)

The 6 most intense peaks (10 to 80 degrees two-theta), sorted by position:
2θ/deg	I (rel.)
15.70	47.3
15.84	100.0
29.48	61.8
30.80	66.7
33.63	94.8
44.05	43.6


Entry 2:
The following is a simulated powder X-ray diffraction pattern of KNa2Pb. It was derived from the GGA-PBE geometry in Alexandria, using CuKα.

Cell and atoms:
Cell lengths 9.3357, 6.3732, 11.2308 Å; angles 90.00, 122.43, 90.00 degrees
Fractional positions:
K (0.0586, 0.0978, 0.3403)
K (0.0586, 0.4022, 0.8403)
K (0.9414, 0.5978, 0.1597)
K (0.9414, 0.9022, 0.6597)
Na (0.3732, 0.1025, 0.7077)
Na (0.3732, 0.3975, 0.2077)
Na (0.4084, 0.7467, 0.4377)
Na (0.4084, 0.7533, 0.9377)
Na (0.5916, 0.2467, 0.0623)
Na (0.5916, 0.2533, 0.5623)
Na (0.6268, 0.6025, 0.7923)
Na (0.6268, 0.8975, 0.2923)
Pb (0.2075, 0.5740, 0.5887)
Pb (0.2075, 0.9260, 0.0887)
Pb (0.7925, 0.0740, 0.9113)
Pb (0.7925, 0.4260, 0.4113)

The 6 most intense peaks (10 to 80 degrees two-theta), sorted by position:
2θ/deg	I (rel.)
15.83	94.1
16.76	100.0
17.17	74.7
27.92	86.1
28.68	79.6
32.14	68.4


Entry 3:
The following is a simulated powder X-ray diffraction pattern of KNa6Pb2. It was derived from the GGA-PBE geometry in Alexandria, using CuKα.

Cell and atoms:
Cell lengths 5.5971, 5.5971, 10.4350 Å; angles 90.07, 90.07, 60.02 degrees
Fractional positions:
K (0.0000, 0.0000, 0.0000)
Na (0.0007, 0.0007, 0.3273)
Na (0.3332, 0.3332, 0.5624)
Na (0.3329, 0.3329, 0.8747)
Na (0.6671, 0.6671, 0.1253)
Na (0.6668, 0.6668, 0.4376)
Na (0.9993, 0.9993, 0.6727)
Pb (0.3340, 0.3340, 0.2405)
Pb (0.6660, 0.6660, 0.7595)

The 6 most intense peaks (10 to 80 degrees two-theta), sorted by position:
2θ/deg	I (rel.)
16.99	33.1
20.20	100.0
31.66	71.8
31.98	63.2
36.43	32.4
56.79	27.3